[1]
Simulated X-ray diffraction stick pattern of Ce7Te4As4 for a wavelength of 1.5418 Å, from a DFT-relaxed cell (GGA-PBE, Alexandria).

Largest 10 diffraction maxima, most intense first, 5 to 70 degrees two-theta:
h k l  d [Å]  Rel. int.
5 0 1  2.829  1000
3 1 2  2.943  357
4 2 2  2.514  323
5 0 3  1.923  323
0 0 2  3.708  238
6 0 0  2.550  153
0 0 4  1.854  139
3 3 2  2.585  114
9 1 2  1.537  89
2 2 2  3.058  82

Structure:
Cell lengths 15.302, 15.302, 7.415 Å; angles 90.00, 90.00, 90.00 degrees
Space group I4/mmm (No. 139)
Inequivalent atoms, fractional coordinates:
Ce (0.000, 0.000, 0.247) [4 per cell]
Ce (0.000, 0.283, 0.000) [8 per cell]
Ce (0.000, 0.380, 0.500) [8 per cell]
Ce (0.211, 0.211, 0.500) [8 per cell]
Te (0.000, 0.176, 0.500) [8 per cell]
Te (0.129, 0.129, 0.000) [8 per cell]
As (0.146, 0.354, 0.250) [16 per cell]

[2]
Simulated X-ray diffraction stick pattern of BeBOs for a wavelength of 1.5418 Å, from a DFT-relaxed cell (GGA-PBE, Alexandria).

Largest 10 diffraction maxima, most intense first, 5 to 70 degrees two-theta:
h k l  d [Å]  Rel. int.
0 1 0  3.747  1000
1 0 -2  2.221  462
1 -1 0  2.695  386
0 0 2  2.520  366
1 0 0  2.571  343
-1 1 2  2.026  283
0 1 -2  2.395  271
1 1 -2  1.813  260
1 1 0  1.804  198
0 1 2  1.879  178

Structure:
Cell lengths 2.926, 4.142, 5.415 Å; angles 97.86, 105.66, 110.59 degrees
Space group P-1 (No. 2)
Inequivalent atoms, fractional coordinates:
Be (0.208, 0.336, 0.081) [2 per cell]
B (0.028, 0.408, 0.650) [2 per cell]
Os (0.370, 0.014, 0.725) [2 per cell]

[3]
Simulated X-ray diffraction stick pattern of U2Co3Si4Tc for a wavelength of 1.5418 Å, from a DFT-relaxed cell (GGA-PBE, Alexandria).

Largest 10 diffraction maxima, most intense first, 5 to 70 degrees two-theta:
h k l  d [Å]  Rel. int.
1 1 2  2.416  1000
1 0 3  2.448  748
1 0 1  3.674  661
2 0 0  2.000  451
2 1 3  1.549  377
1 1 0  2.829  287
1 0 5  1.684  252
2 1 1  1.757  188
1 1 6  1.358  156
2 2 0  1.414  147

Structure:
Cell lengths 4.001, 4.001, 9.285 Å; angles 90.00, 90.00, 90.00 degrees
Space group P-4m2 (No. 115)
Inequivalent atoms, fractional coordinates:
U (0.000, 0.500, 0.248) [2 per cell]
Co (0.000, 0.000, 0.000) [1 per cell]
Co (0.000, 0.500, 0.623) [2 per cell]
Si (0.000, 0.000, 0.500) [1 per cell]
Si (0.000, 0.500, 0.862) [2 per cell]
Si (0.500, 0.500, 0.500) [1 per cell]
Tc (0.500, 0.500, 0.000) [1 per cell]

[4]
Simulated X-ray diffraction stick pattern of PuNpB12 for a wavelength of 1.5418 Å, from a DFT-relaxed cell (GGA-PBE, Alexandria).

Largest 8 diffraction maxima, most intense first, 5 to 70 degrees two-theta:
h k l  d [Å]  Rel. int.
1 1 0  2.900  1000
1 0 0  4.101  821
2 1 0  1.834  527
1 1 2  2.368  414
2 1 2  1.674  331
2 2 2  1.367  283
2 0 0  2.051  210
2 2 0  1.450  115

Structure:
Cell lengths 4.101, 4.101, 8.204 Å; angles 90.00, 90.00, 90.00 degrees
Space group P4/mmm (No. 123)
Inequivalent atoms, fractional coordinates:
Pu (0.000, 0.000, 0.000) [1 per cell]
Np (0.000, 0.000, 0.500) [1 per cell]
B (0.198, 0.500, 0.251) [8 per cell]
B (0.500, 0.500, 0.099) [2 per cell]
B (0.500, 0.500, 0.401) [2 per cell]

[5]
Simulated X-ray diffraction stick pattern of Gd2DyHf for a wavelength of 1.5418 Å, from a DFT-relaxed cell (GGA-PBE, Alexandria).

Largest 10 diffraction maxima, most intense first, 5 to 70 degrees two-theta:
h k l  d [Å]  Rel. int.
1 0 2  2.811  1000
1 1 0  2.415  338
2 1 2  1.460  275
1 1 4  1.729  220
0 0 4  2.475  161
2 0 0  1.708  119
1 0 6  1.486  115
2 0 4  1.406  111
0 0 1  9.901  31
1 0 3  2.373  25

Structure:
Cell lengths 3.416, 3.416, 9.901 Å; angles 90.00, 90.00, 90.00 degrees
Space group P4/mmm (No. 123)
Inequivalent atoms, fractional coordinates:
Gd (0.000, 0.000, 0.231) [2 per cell]
Dy (0.500, 0.500, 0.500) [1 per cell]
Hf (0.500, 0.500, 0.000) [1 per cell]

[6]
Simulated X-ray diffraction stick pattern of Cs2Ac2CeO6 for a wavelength of 1.5418 Å, from a DFT-relaxed cell (GGA-PBE, Alexandria).

Largest 10 diffraction maxima, most intense first, 5 to 70 degrees two-theta:
h k l  d [Å]  Rel. int.
1 3 1  2.809  1000
1 3 -1  3.120  877
0 0 1  7.068  761
0 0 2  3.534  693
2 0 -2  2.758  477
2 0 0  3.173  464
1 3 -3  2.046  351
3 3 -1  1.898  328
1 3 3  1.794  247
1 1 -1  4.961  214

Structure:
Cell lengths 6.588, 11.350, 7.338 Å; angles 90.00, 105.59, 90.00 degrees
Space group C2/m (No. 12)
Inequivalent atoms, fractional coordinates:
Cs (0.000, 0.164, 0.000) [4 per cell]
Ac (0.000, 0.335, 0.500) [4 per cell]
Ce (0.000, 0.000, 0.500) [2 per cell]
O (0.200, 0.158, 0.657) [8 per cell]
O (0.248, 0.000, 0.339) [4 per cell]

[7]
Simulated X-ray diffraction stick pattern of KSr2TcO5 for a wavelength of 1.5418 Å, from a DFT-relaxed cell (GGA-PBE, Alexandria).

Largest 10 diffraction maxima, most intense first, 5 to 70 degrees two-theta:
h k l  d [Å]  Rel. int.
1 1 2  2.876  1000
0 1 1  5.479  422
0 2 4  2.119  294
0 2 0  3.109  272
1 3 2  1.747  227
2 2 4  1.438  152
0 0 4  2.897  150
2 0 0  1.958  149
1 2 3  2.060  148
0 1 5  2.172  116

Structure:
Cell lengths 3.916, 6.217, 11.589 Å; angles 90.00, 90.00, 90.00 degrees
Space group Immm (No. 71)
Inequivalent atoms, fractional coordinates:
K (0.000, 0.000, 0.000) [2 per cell]
Sr (0.000, 0.500, 0.221) [4 per cell]
Tc (0.000, 0.000, 0.500) [2 per cell]
O (0.000, 0.218, 0.372) [8 per cell]
O (0.000, 0.500, 0.000) [2 per cell]

[8]
Simulated X-ray diffraction stick pattern of SrI2O6 for a wavelength of 1.5418 Å, from a DFT-relaxed cell (GGA-PBE, Alexandria).

Largest 10 diffraction maxima, most intense first, 5 to 70 degrees two-theta:
h k l  d [Å]  Rel. int.
1 1 1  3.850  1000
1 1 -1  3.940  311
1 1 -2  3.320  220
1 0 3  2.974  173
2 0 0  3.115  161
1 2 3  2.057  128
1 0 -3  3.091  123
0 2 0  2.848  113
2 2 0  2.102  102
0 1 1  4.996  101

Structure:
Cell lengths 6.236, 5.696, 10.418 Å; angles 90.00, 92.61, 90.00 degrees
Space group P2_1 (No. 4)
Inequivalent atoms, fractional coordinates:
Sr (0.201, 0.000, 0.239) [2 per cell]
I (0.282, 0.398, 0.567) [2 per cell]
I (0.304, 0.890, 0.887) [2 per cell]
O (0.030, 0.265, 0.614) [2 per cell]
O (0.156, 0.714, 0.764) [2 per cell]
O (0.170, 0.792, 0.029) [2 per cell]
O (0.348, 0.216, 0.430) [2 per cell]
O (0.442, 0.231, 0.096) [2 per cell]
O (0.469, 0.271, 0.688) [2 per cell]